Structure and calculated X-ray powder pattern of Na3ZrU2Se6 (a cell relaxed with GGA-PBE; Cu Kα).
Peak positions follow from Bragg's law for the DFT cell and can differ from measured ones.

Principal peaks in the range 2θ from 15° to 90°, in order of rising 2θ:
25.9 deg, rel. 26; 30.6 deg, rel. 100; 39.1 deg, rel. 16; 42.5 deg, rel. 39; 45.0 deg, rel. 35; 46.8 deg, rel. 14; 55.4 deg, rel. 18; 70.4 deg, rel. 17; 74.0 deg, rel. 15; 81.3 deg, rel. 12

Structure:
Unit cell a=6.981 b=6.981 c=7.523 alpha=98.90 beta=98.90 gamma=120.01
Fractional coordinates of all 12 atoms:
Na (0.000, 0.000, 0.000)
Na (0.332, 0.668, 0.000)
Na (0.668, 0.332, 0.000)
Zr (0.500, 0.500, 0.500)
U (0.167, 0.833, 0.500)
U (0.833, 0.167, 0.500)
Se (0.100, 0.422, 0.267)
Se (0.256, 0.256, 0.732)
Se (0.422, 0.100, 0.267)
Se (0.578, 0.900, 0.733)
Se (0.744, 0.744, 0.268)
Se (0.900, 0.578, 0.733)

Structure and calculated X-ray powder pattern of La5Sm3Ho3 (a cell relaxed with GGA-PBE; Cu Kα).
Peak positions follow from Bragg's law for the DFT cell and can differ from measured ones.

Principal peaks in the range 2θ from 15° to 90°, in order of rising 2θ:
23.7 deg, rel. 35; 26.9 deg, rel. 75; 30.0 deg, rel. 86; 31.2 deg, rel. 33; 32.5 deg, rel. 100; 35.1 deg, rel. 74; 40.8 deg, rel. 82; 47.7 deg, rel. 43; 55.6 deg, rel. 31; 62.1 deg, rel. 39

Structure:
Unit cell a=11.461 b=11.461 c=3.486 alpha=90.00 beta=90.00 gamma=120.00
Fractional coordinates of all 11 atoms:
La (0.000, 0.337, 0.000)
La (0.333, 0.667, 0.000)
La (0.337, 0.000, 0.000)
La (0.663, 0.663, 0.000)
La (0.667, 0.333, 0.000)
Sm (0.000, 0.599, 0.500)
Sm (0.401, 0.401, 0.500)
Sm (0.599, 0.000, 0.500)
Ho (0.000, 0.841, 0.000)
Ho (0.159, 0.159, 0.000)
Ho (0.841, 0.000, 0.000)

Structure and calculated X-ray powder pattern of KAlSi3O9 (a cell relaxed with GGA-PBE; Cu Kα).
Peak positions follow from Bragg's law for the DFT cell and can differ from measured ones.

Principal peaks in the range 2θ from 15° to 90°, in order of rising 2θ:
19.1 deg, rel. 33; 22.1 deg, rel. 43; 22.2 deg, rel. 36; 29.4 deg, rel. 100; 33.3 deg, rel. 80; 40.4 deg, rel. 19; 57.2 deg, rel. 24; 59.6 deg, rel. 13; 68.1 deg, rel. 20; 70.0 deg, rel. 20

Structure:
Unit cell a=5.376 b=5.376 c=8.011 alpha=90.00 beta=90.00 gamma=120.00
Fractional coordinates of all 14 atoms:
K (0.000, 0.000, 0.000)
Al (0.333, 0.667, 0.242)
Si (0.333, 0.667, 0.655)
Si (0.667, 0.333, 0.237)
Si (0.667, 0.333, 0.649)
O (0.000, 0.000, 0.428)
O (0.333, 0.667, 0.457)
O (0.501, 0.002, 0.725)
O (0.501, 0.499, 0.725)
O (0.506, 0.012, 0.163)
O (0.506, 0.494, 0.163)
O (0.667, 0.333, 0.446)
O (0.988, 0.494, 0.163)
O (0.998, 0.499, 0.725)

Structure and calculated X-ray powder pattern of Li2ScH4 (a cell relaxed with GGA-PBE; Cu Kα).
Peak positions follow from Bragg's law for the DFT cell and can differ from measured ones.

Principal peaks in the range 2θ from 15° to 90°, in order of rising 2θ:
16.3 deg, rel. 77; 24.8 deg, rel. 100; 33.3 deg, rel. 41; 34.1 deg, rel. 68; 37.3 deg, rel. 26; 47.8 deg, rel. 16; 48.1 deg, rel. 17; 50.9 deg, rel. 12; 54.6 deg, rel. 18; 60.1 deg, rel. 25

Structure:
Unit cell a=6.080 b=6.080 c=6.080 alpha=143.55 beta=143.55 gamma=52.51
Fractional coordinates of all 7 atoms:
Li (0.156, 0.156, 0.000)
Li (0.844, 0.844, 0.000)
Sc (0.500, 0.500, 0.000)
H (0.000, 0.500, 0.500)
H (0.320, 0.320, 0.000)
H (0.500, 0.000, 0.500)
H (0.680, 0.680, 0.000)

Structure and calculated X-ray powder pattern of DyTm4Ni2 (a cell relaxed with GGA-PBE; Cu Kα).
Peak positions follow from Bragg's law for the DFT cell and can differ from measured ones.

Principal peaks in the range 2θ from 15° to 90°, in order of rising 2θ:
31.3 deg, rel. 100; 31.6 deg, rel. 91; 31.8 deg, rel. 70; 32.1 deg, rel. 69; 34.6 deg, rel. 54; 35.8 deg, rel. 47; 36.1 deg, rel. 65; 37.5 deg, rel. 86; 38.0 deg, rel. 73; 47.7 deg, rel. 43

Structure:
Unit cell a=7.479 b=6.283 c=7.780 alpha=90.00 beta=112.36 gamma=90.00
Fractional coordinates of all 14 atoms:
Dy (0.151, 0.250, 0.025)
Dy (0.849, 0.750, 0.975)
Tm (0.026, 0.250, 0.388)
Tm (0.253, 0.750, 0.344)
Tm (0.409, 0.003, 0.767)
Tm (0.409, 0.497, 0.767)
Tm (0.591, 0.503, 0.233)
Tm (0.591, 0.997, 0.233)
Tm (0.747, 0.250, 0.656)
Tm (0.974, 0.750, 0.612)
Ni (0.257, 0.750, 0.993)
Ni (0.382, 0.250, 0.415)
Ni (0.618, 0.750, 0.585)
Ni (0.743, 0.250, 0.007)

Structure and calculated X-ray powder pattern of Cs3YBr8 (a cell relaxed with GGA-PBE; Cu Kα).
Peak positions follow from Bragg's law for the DFT cell and can differ from measured ones.

Principal peaks in the range 2θ from 15° to 90°, in order of rising 2θ:
18.9 deg, rel. 56; 31.1 deg, rel. 100; 33.5 deg, rel. 8; 36.6 deg, rel. 27; 44.5 deg, rel. 13; 48.8 deg, rel. 17; 49.1 deg, rel. 7; 55.3 deg, rel. 23; 59.0 deg, rel. 9; 76.8 deg, rel. 8

Structure:
Unit cell a=9.967 b=9.967 c=9.967 alpha=131.82 beta=131.82 gamma=70.51
Fractional coordinates of all 12 atoms:
Cs (0.000, 0.000, 0.000)
Cs (0.250, 0.750, 0.500)
Cs (0.750, 0.250, 0.500)
Y (0.500, 0.500, 0.000)
Br (0.183, 0.183, 0.578)
Br (0.183, 0.605, 0.000)
Br (0.395, 0.395, 0.578)
Br (0.395, 0.817, 0.000)
Br (0.605, 0.183, 0.000)
Br (0.605, 0.605, 0.422)
Br (0.817, 0.395, 0.000)
Br (0.817, 0.817, 0.422)

Structure and calculated X-ray powder pattern of Er2Tl2SbO6 (a cell relaxed with GGA-PBE; Cu Kα).
Peak positions follow from Bragg's law for the DFT cell and can differ from measured ones.

Principal peaks in the range 2θ from 15° to 90°, in order of rising 2θ:
19.7 deg, rel. 28; 26.8 deg, rel. 74; 31.4 deg, rel. 44; 31.8 deg, rel. 84; 35.2 deg, rel. 100; 35.7 deg, rel. 49; 47.1 deg, rel. 21; 48.0 deg, rel. 35; 53.9 deg, rel. 44; 55.2 deg, rel. 34

Structure:
Unit cell a=5.889 b=5.889 c=6.902 alpha=97.54 beta=97.54 gamma=119.89
Fractional coordinates of all 11 atoms:
Er (0.166, 0.834, 0.000)
Er (0.834, 0.166, 0.000)
Tl (0.336, 0.664, 0.500)
Tl (0.664, 0.336, 0.500)
Sb (0.500, 0.500, 0.000)
O (0.134, 0.453, 0.839)
O (0.234, 0.234, 0.161)
O (0.453, 0.134, 0.839)
O (0.547, 0.866, 0.161)
O (0.766, 0.766, 0.839)
O (0.866, 0.547, 0.161)

Structure and calculated X-ray powder pattern of K12Rb2S7 (a cell relaxed with GGA-PBE; Cu Kα).
Peak positions follow from Bragg's law for the DFT cell and can differ from measured ones.

Principal peaks in the range 2θ from 15° to 90°, in order of rising 2θ:
28.0 deg, rel. 8; 28.1 deg, rel. 100; 30.4 deg, rel. 10; 32.4 deg, rel. 10; 34.5 deg, rel. 16; 36.8 deg, rel. 20; 37.3 deg, rel. 26; 40.1 deg, rel. 11; 53.4 deg, rel. 17; 61.1 deg, rel. 10

Structure:
Unit cell a=12.760 b=12.760 c=4.885 alpha=90.00 beta=90.00 gamma=120.00
Fractional coordinates of all 21 atoms:
K (0.052, 0.443, 0.000)
K (0.117, 0.279, 0.500)
K (0.161, 0.883, 0.500)
K (0.221, 0.124, 0.000)
K (0.391, 0.948, 0.000)
K (0.432, 0.370, 0.500)
K (0.557, 0.609, 0.000)
K (0.630, 0.061, 0.500)
K (0.721, 0.839, 0.500)
K (0.876, 0.098, 0.000)
K (0.902, 0.779, 0.000)
K (0.939, 0.568, 0.500)
Rb (0.333, 0.667, 0.500)
Rb (0.667, 0.333, 0.000)
S (0.000, 0.000, 0.500)
S (0.124, 0.715, 0.000)
S (0.285, 0.409, 0.000)
S (0.417, 0.120, 0.500)
S (0.591, 0.876, 0.000)
S (0.703, 0.583, 0.500)
S (0.880, 0.297, 0.500)

Structure and calculated X-ray powder pattern of CsUSO2 (a cell relaxed with GGA-PBE; Cu Kα).
Peak positions follow from Bragg's law for the DFT cell and can differ from measured ones.

Principal peaks in the range 2θ from 15° to 90°, in order of rising 2θ:
20.1 deg, rel. 15; 26.1 deg, rel. 100; 28.5 deg, rel. 49; 33.3 deg, rel. 23; 40.8 deg, rel. 26; 44.4 deg, rel. 30; 49.0 deg, rel. 37; 53.6 deg, rel. 23; 55.2 deg, rel. 13; 76.8 deg, rel. 13

Structure:
Unit cell a=4.425 b=4.425 c=5.387 alpha=90.00 beta=90.00 gamma=90.00
Fractional coordinates of all 5 atoms:
Cs (0.000, 0.000, 0.000)
U (0.500, 0.500, 0.498)
S (0.500, 0.500, 0.997)
O (0.000, 0.500, 0.498)
O (0.500, 0.000, 0.498)

Structure and calculated X-ray powder pattern of K2ReSiN4 (a cell relaxed with GGA-PBE; Cu Kα).
Peak positions follow from Bragg's law for the DFT cell and can differ from measured ones.

Principal peaks in the range 2θ from 15° to 90°, in order of rising 2θ:
19.1 deg, rel. 65; 19.8 deg, rel. 62; 20.5 deg, rel. 86; 24.3 deg, rel. 40; 29.8 deg, rel. 36; 30.1 deg, rel. 66; 30.3 deg, rel. 91; 31.1 deg, rel. 51; 34.7 deg, rel. 100; 59.0 deg, rel. 40

Structure:
Unit cell a=5.942 b=6.346 c=6.795 alpha=90.00 beta=90.00 gamma=90.00
Fractional coordinates of all 16 atoms:
K (0.250, 0.004, 0.191)
K (0.250, 0.496, 0.191)
K (0.750, 0.504, 0.809)
K (0.750, 0.996, 0.809)
Re (0.250, 0.250, 0.648)
Re (0.750, 0.750, 0.352)
Si (0.250, 0.750, 0.644)
Si (0.750, 0.250, 0.356)
N (0.015, 0.750, 0.490)
N (0.250, 0.515, 0.785)
N (0.250, 0.985, 0.785)
N (0.485, 0.750, 0.490)
N (0.515, 0.250, 0.510)
N (0.750, 0.015, 0.215)
N (0.750, 0.485, 0.215)
N (0.985, 0.250, 0.510)

Structure and calculated X-ray powder pattern of CrTcTe (a cell relaxed with GGA-PBE; Cu Kα).
Peak positions follow from Bragg's law for the DFT cell and can differ from measured ones.

Principal peaks in the range 2θ from 15° to 90°, in order of rising 2θ:
27.4 deg, rel. 88; 27.6 deg, rel. 43; 33.2 deg, rel. 60; 33.3 deg, rel. 34; 41.2 deg, rel. 100; 41.4 deg, rel. 39; 44.3 deg, rel. 44; 44.6 deg, rel. 86; 50.7 deg, rel. 25; 62.2 deg, rel. 25

Structure:
Unit cell a=4.060 b=4.060 c=8.376 alpha=90.12 beta=90.12 gamma=60.46
Fractional coordinates of all 6 atoms:
Cr (0.166, 0.166, 0.056)
Cr (0.834, 0.834, 0.944)
Tc (0.498, 0.498, 0.853)
Tc (0.502, 0.502, 0.147)
Te (0.163, 0.163, 0.683)
Te (0.837, 0.837, 0.317)

Structure and calculated X-ray powder pattern of AcSnTe2 (a cell relaxed with GGA-PBE; Cu Kα).
Peak positions follow from Bragg's law for the DFT cell and can differ from measured ones.

Principal peaks in the range 2θ from 15° to 90°, in order of rising 2θ:
30.7 deg, rel. 56; 32.1 deg, rel. 100; 43.9 deg, rel. 21; 48.0 deg, rel. 8; 55.4 deg, rel. 43; 58.0 deg, rel. 19; 67.1 deg, rel. 12; 72.5 deg, rel. 10; 73.3 deg, rel. 9; 89.5 deg, rel. 12

Structure:
Unit cell a=4.123 b=4.123 c=7.584 alpha=90.00 beta=90.00 gamma=90.00
Fractional coordinates of all 4 atoms:
Ac (0.000, 0.000, 0.000)
Sn (0.000, 0.000, 0.500)
Te (0.500, 0.500, 0.248)
Te (0.500, 0.500, 0.752)

Please write out number 10 again, unchanged.
Structure and calculated X-ray powder pattern of K2ReSiN4 (a cell relaxed with GGA-PBE; Cu Kα).
Peak positions follow from Bragg's law for the DFT cell and can differ from measured ones.

Principal peaks in the range 2θ from 15° to 90°, in order of rising 2θ:
19.1 deg, rel. 65; 19.8 deg, rel. 62; 20.5 deg, rel. 86; 24.3 deg, rel. 40; 29.8 deg, rel. 36; 30.1 deg, rel. 66; 30.3 deg, rel. 91; 31.1 deg, rel. 51; 34.7 deg, rel. 100; 59.0 deg, rel. 40

Structure:
Unit cell a=5.942 b=6.346 c=6.795 alpha=90.00 beta=90.00 gamma=90.00
Fractional coordinates of all 16 atoms:
K (0.250, 0.004, 0.191)
K (0.250, 0.496, 0.191)
K (0.750, 0.504, 0.809)
K (0.750, 0.996, 0.809)
Re (0.250, 0.250, 0.648)
Re (0.750, 0.750, 0.352)
Si (0.250, 0.750, 0.644)
Si (0.750, 0.250, 0.356)
N (0.015, 0.750, 0.490)
N (0.250, 0.515, 0.785)
N (0.250, 0.985, 0.785)
N (0.485, 0.750, 0.490)
N (0.515, 0.250, 0.510)
N (0.750, 0.015, 0.215)
N (0.750, 0.485, 0.215)
N (0.985, 0.250, 0.510)